(1)
This entry pairs a crystal structure of DyErAl2Ni4 with its computed powder X-ray diffraction pattern. Radiation: Cu Kα, 1.54184 Å. Structure: a cell relaxed with GGA-PBE.

Most intense lines, 5 to 70 degrees two-theta, most intense first:
(hkl)  2θ/deg  intensity
1 0 3  39.69  100.0
1 1 0  43.86  63.1
1 0 1  26.91  42.4
1 0 0  24.90  40.0
2 0 3  60.62  27.9
1 1 4  61.53  15.5
1 0 2  32.23  11.5
0 0 4  40.92  8.5

Cell and atoms:
```
data_DyErAl2Ni4
_cell_length_a 4.1287
_cell_length_b 4.1287
_cell_length_c 8.8214
_cell_angle_alpha 90.00
_cell_angle_beta 90.00
_cell_angle_gamma 120.00
_symmetry_space_group_name_H-M 'P -6 m 2'
_symmetry_Int_Tables_number 187
_symmetry_space_group_name_Hall 'P -6 2'
loop_
_atom_site_label
_atom_site_type_symbol
_atom_site_fract_x
_atom_site_fract_y
_atom_site_fract_z
_atom_site_occupancy
Dy1 Dy 0.0000 0.0000 0.0000 1
Er1 Er 0.6667 0.3333 0.5000 1
Al1 Al 0.3333 0.6667 0.2522 1
Ni1 Ni 0.0000 0.0000 0.3164 1
Ni2 Ni 0.6667 0.3333 0.1880 1
```

***

(2)
This entry pairs a crystal structure of Pr3Se2O with its computed powder X-ray diffraction pattern. Radiation: Cu Kα, 1.54184 Å. Structure: a cell relaxed with GGA-PBE.

Most intense lines, 5 to 70 degrees two-theta, most intense first:
(hkl)  2θ/deg  intensity
1 0 2  31.32  100.0
1 1 0  46.07  36.8
0 1 1  27.50  32.7
0 1 4  43.66  27.4
0 1 3  36.89  21.1
0 2 2  56.77  18.1
1 1 5  65.09  15.0
1 0 7  68.68  9.3

Cell and atoms:
```
data_Pr3Se2O
_cell_length_a 3.9401
_cell_length_b 3.9401
_cell_length_c 10.4409
_cell_angle_alpha 90.00
_cell_angle_beta 90.00
_cell_angle_gamma 120.00
_symmetry_space_group_name_H-M 'P -3 m 1'
_symmetry_Int_Tables_number 164
_symmetry_space_group_name_Hall '-P 3 2"'
loop_
_atom_site_label
_atom_site_type_symbol
_atom_site_fract_x
_atom_site_fract_y
_atom_site_fract_z
_atom_site_occupancy
Pr1 Pr 0.0000 0.0000 0.0000 1
Pr2 Pr 0.3333 0.6667 0.3721 1
Se1 Se 0.3333 0.6667 0.8134 1
O1 O 0.0000 0.0000 0.5000 1
```

***

(3)
This entry pairs a crystal structure of ScTl2HgCl6 with its computed powder X-ray diffraction pattern. Radiation: Cu Kα, 1.54184 Å. Structure: a cell relaxed with GGA-PBE.

Most intense lines, 5 to 70 degrees two-theta, most intense first:
(hkl)  2θ/deg  intensity
2 2 0  23.55  100.0
4 2 2  41.39  46.6
4 0 0  33.54  45.8
4 4 0  48.17  31.8
6 4 2  65.35  25.9
6 2 0  54.29  22.9
2 2 2  28.94  16.8
3 1 1  27.69  10.8

Cell and atoms:
```
data_ScTl2HgCl6
_cell_length_a 10.686
_cell_length_b 10.686
_cell_length_c 10.686
_cell_angle_alpha 90.00
_cell_angle_beta 90.00
_cell_angle_gamma 90.00
_symmetry_space_group_name_H-M 'F m -3 m'
_symmetry_Int_Tables_number 225
_symmetry_space_group_name_Hall '-F 4 2 3'
loop_
_atom_site_label
_atom_site_type_symbol
_atom_site_fract_x
_atom_site_fract_y
_atom_site_fract_z
_atom_site_occupancy
Sc1 Sc 0.000 0.000 0.000 1
Tl1 Tl 0.250 0.250 0.250 1
Hg1 Hg 0.000 0.000 0.500 1
Cl1 Cl 0.000 0.000 0.233 1
```

***

(4)
This entry pairs a crystal structure of CuAgB4 with its computed powder X-ray diffraction pattern. Radiation: Cu Kα, 1.54184 Å. Structure: a cell relaxed with GGA-PBE.

Most intense lines, 5 to 70 degrees two-theta, most intense first:
(hkl)  2θ/deg  intensity
1 1 2  42.41  100.0
0 0 2  23.68  64.1
1 1 0  34.66  62.8
0 2 2  42.14  50.4
0 2 0  34.34  32.7
1 1 4  60.94  23.3
0 0 4  48.45  18.8
1 3 0  61.72  17.2

Cell and atoms:
```
data_CuAgB4
_cell_length_a 2.979
_cell_length_b 5.222
_cell_length_c 7.515
_cell_angle_alpha 90.00
_cell_angle_beta 90.00
_cell_angle_gamma 90.00
_symmetry_space_group_name_H-M 'I m m m'
_symmetry_Int_Tables_number 71
_symmetry_space_group_name_Hall '-I 2 2'
loop_
_atom_site_label
_atom_site_type_symbol
_atom_site_fract_x
_atom_site_fract_y
_atom_site_fract_z
_atom_site_occupancy
Cu1 Cu 0.000 0.000 0.000 1
Ag1 Ag 0.000 0.000 0.500 1
B1 B 0.000 0.336 0.257 1
```

***

(5)
This entry pairs a crystal structure of W8C3S2N3 with its computed powder X-ray diffraction pattern. Radiation: Cu Kα, 1.54184 Å. Structure: a cell relaxed with GGA-PBE.

Most intense lines, 5 to 70 degrees two-theta, most intense first:
(hkl)  2θ/deg  intensity
1 0 6  41.21  100.0
1 0 5  38.83  61.3
1 0 2  33.90  61.1
1 1 0  58.71  49.5
1 0 4  36.79  34.8
0 1 3  35.12  33.8
0 0 2  8.00  32.1
1 0 12  60.68  28.5

Cell and atoms:
```
data_W8C3S2N3
_cell_length_a 3.1451
_cell_length_b 3.1451
_cell_length_c 22.1130
_cell_angle_alpha 90.00
_cell_angle_beta 90.00
_cell_angle_gamma 120.00
_symmetry_space_group_name_H-M 'P -3 m 1'
_symmetry_Int_Tables_number 164
_symmetry_space_group_name_Hall '-P 3 2"'
loop_
_atom_site_label
_atom_site_type_symbol
_atom_site_fract_x
_atom_site_fract_y
_atom_site_fract_z
_atom_site_occupancy
W1 W 0.0000 0.0000 0.1599 1
W2 W 0.0000 0.0000 0.3333 1
W3 W 0.3333 0.6667 0.0598 1
W4 W 0.3333 0.6667 0.4516 1
C1 C 0.0000 0.0000 0.0000 1
C2 C 0.3333 0.6667 0.8830 1
S1 S 0.3333 0.6667 0.2587 1
N1 N 0.0000 0.0000 0.5000 1
N2 N 0.3333 0.6667 0.6046 1
```

***

(6)
This entry pairs a crystal structure of AsAu3Se2S2 with its computed powder X-ray diffraction pattern. Radiation: Cu Kα, 1.54184 Å. Structure: a cell relaxed with GGA-PBE.

Most intense lines, 5 to 70 degrees two-theta, most intense first:
(hkl)  2θ/deg  intensity
3 1 -1  26.64  100.0
1 1 1  26.40  93.9
4 2 0  44.08  39.7
2 2 -2  43.92  38.5
1 3 1  52.05  32.8
5 1 -3  52.18  26.2
2 0 2  43.70  19.9
6 0 -2  44.30  19.2

Cell and atoms:
```
data_AsAu3Se2S2
_cell_length_a 12.922
_cell_length_b 5.821
_cell_length_c 5.841
_cell_angle_alpha 90.00
_cell_angle_beta 116.12
_cell_angle_gamma 90.00
_symmetry_space_group_name_H-M 'C 1 2 1'
_symmetry_Int_Tables_number 5
loop_
_symmetry_equiv_pos_as_xyz
'x,y,z'
'-x,y,-z'
'x+1/2,y+1/2,z'
'-x+1/2,y+1/2,-z'
loop_
_atom_site_label
_atom_site_type_symbol
_atom_site_fract_x
_atom_site_fract_y
_atom_site_fract_z
_atom_site_occupancy
As1 As 0.000 0.000 0.000 1
Au1 Au 0.000 0.536 0.500 1
Au2 Au 0.250 0.017 0.774 1
Se1 Se 0.123 0.254 0.365 1
S1 S 0.121 0.772 0.879 1
```